Simulated powder diffractogram of La3ErMg for Cu Kα X-rays, from a GGA-PBE-relaxed structure.
Lines closer than 0.1° are merged.

Principal peaks in the range 10° ≤ 2θ ≤ 90°, by angle:
2θ/deg  Rel. int.
30.31  10
30.62  100
32.04  25
32.36  21
41.42  9
46.18  15
53.29  9
56.22  18
56.63  12
63.74  8

Crystal structure
```
10
Lattice="8.5693 -2.7938 0.0000 8.5693 2.7938 0.0000 -0.2455 0.0000 7.0385" Properties=species:S:1:pos:R:3 pbc="T T T"
La 0.0000 0.0000 0.0000
La 0.1433 0.0000 3.6945
La 3.3969 0.0000 6.4766
La 6.7544 0.0000 1.8822
La 10.5245 0.0000 1.8142
La 13.6404 0.0000 4.2610
Er 6.8655 0.0000 5.3415
Er 10.1741 0.0000 5.3928
Mg 3.5481 0.0000 3.0208
Mg 13.7304 0.0000 0.6770
```